PHF4: computed X-ray diffraction stick pattern (Cu Ka), based on a crystal structure in the Materials Project, relaxed with PBE.
No peak broadening, texture or thermal motion is included.

Top 8 peaks for 2θ = 10–90°, in order of rising 2θ:
2θ/deg, I/Imax
20.07, 29
21.31, 20
21.67, 54
22.83, 54
23.94, 51
24.10, 100
36.10, 23
39.42, 20

Structural model:
```
PHF4
1.0
4.7020 0.0000 0.0000
0.0000 8.2012 0.0000
-4.6159 0.0000 8.8503
P H F
4 4 16
direct
0.1818 0.2171 0.1731 P
0.1818 0.2829 0.6731 P
0.8182 0.7171 0.3269 P
0.8182 0.7829 0.8269 P
0.3360 0.1165 0.1140 H
0.3360 0.3835 0.6140 H
0.6640 0.6165 0.3860 H
0.6640 0.8835 0.8860 H
0.0544 0.6446 0.9221 F
0.0544 0.8554 0.4221 F
0.1156 0.5871 0.3847 F
0.1156 0.9129 0.8847 F
0.2299 0.2012 0.3388 F
0.2299 0.2988 0.8388 F
0.4834 0.1558 0.7309 F
0.4834 0.3442 0.2309 F
0.5166 0.6558 0.7691 F
0.5166 0.8442 0.2691 F
0.7701 0.7012 0.1612 F
0.7701 0.7988 0.6612 F
0.8844 0.0871 0.1153 F
0.8844 0.4129 0.6153 F
0.9456 0.1446 0.5779 F
0.9456 0.3554 0.0779 F
```

SiPb2O4: computed X-ray diffraction stick pattern (Cu Ka), based on a crystal structure in the Materials Project, relaxed with PBE.
No peak broadening, texture or thermal motion is included.

Top 8 peaks for 2θ = 10–90°, in order of rising 2θ:
2θ/deg, I/Imax
14.46, 35
27.28, 65
27.82, 100
29.43, 28
31.28, 27
32.42, 30
34.37, 59
43.87, 24

Structural model:
```
SiPb2O4
1.0
6.1740 -3.8961 0.0000
6.1740 3.8961 0.0000
-2.5205 0.0000 19.6130
Si Pb O
8 16 32
direct
0.0035 0.0035 0.0812 Si
0.2458 0.7460 0.4188 Si
0.2540 0.7542 0.5812 Si
0.4186 0.5735 0.9188 Si
0.4265 0.5814 0.0812 Si
0.6694 0.3219 0.4189 Si
0.6781 0.3306 0.5811 Si
0.9965 0.9965 0.9188 Si
0.0801 0.6711 0.7497 Pb
0.0822 0.1653 0.7452 Pb
0.1908 0.2729 0.4085 Pb
0.1998 0.2776 0.5915 Pb
0.3289 0.9199 0.2503 Pb
0.3341 0.4207 0.2467 Pb
0.4769 0.0572 0.9086 Pb
0.4837 0.0556 0.0911 Pb
0.5793 0.6659 0.7533 Pb
0.5889 0.1677 0.7524 Pb
0.7224 0.8002 0.4085 Pb
0.7271 0.8092 0.5915 Pb
0.8323 0.4111 0.2476 Pb
0.8347 0.9178 0.2548 Pb
0.9428 0.5231 0.0914 Pb
0.9444 0.5163 0.9089 Pb
0.0463 0.1863 0.1247 O
0.0493 0.1675 0.8890 O
0.0626 0.7031 0.3758 O
0.0820 0.7033 0.6118 O
0.1745 0.2561 0.2946 O
0.1948 0.8052 0.5000 O
0.2049 0.7820 0.9150 O
0.2180 0.7951 0.0850 O
0.2492 0.3338 0.7048 O
0.2967 0.9180 0.3882 O
0.2969 0.9374 0.6242 O
0.3756 0.3905 0.8758 O
0.3765 0.4098 0.1122 O
0.4215 0.0030 0.7955 O
0.4573 0.5337 0.4155 O
0.4663 0.5427 0.5845 O
0.4784 0.5216 0.0000 O
0.4956 0.0785 0.2051 O
0.5902 0.6235 0.8878 O
0.6095 0.6244 0.1242 O
0.6268 0.1386 0.3759 O
0.6282 0.1587 0.6117 O
0.6662 0.7508 0.2952 O
0.7295 0.2705 0.5000 O
0.7439 0.8255 0.7054 O
0.8137 0.9537 0.8753 O
0.8325 0.9507 0.1110 O
0.8413 0.3718 0.3883 O
0.8614 0.3732 0.6241 O
0.9215 0.5044 0.7949 O
0.9454 0.0546 0.0000 O
0.9970 0.5785 0.2045 O
```

AcMgCd2: computed X-ray diffraction stick pattern (Cu Ka), based on a crystal structure in the Materials Project, relaxed with PBE.
No peak broadening, texture or thermal motion is included.

Top 8 peaks for 2θ = 10–90°, in order of rising 2θ:
2θ/deg, I/Imax
20.05, 37
33.02, 100
38.93, 22
47.40, 18
51.95, 10
58.98, 37
69.28, 11
78.91, 16

Structural model:
```
AcMgCd2
1.0
0.0000 3.8361 3.8361
3.8361 0.0000 3.8361
3.8361 3.8361 0.0000
Ac Mg Cd
1 1 2
direct
0.0000 0.0000 0.0000 Ac
0.5000 0.5000 0.5000 Mg
0.2500 0.2500 0.2500 Cd
0.7500 0.7500 0.7500 Cd
```

Lu2Al9Ir3: computed X-ray diffraction stick pattern (Cu Ka), based on a crystal structure in the Materials Project, relaxed with PBE.
No peak broadening, texture or thermal motion is included.

Top 8 peaks for 2θ = 10–90°, in order of rising 2θ:
2θ/deg, I/Imax
23.65, 28
30.31, 51
30.42, 100
37.29, 42
38.25, 31
41.42, 64
41.67, 29
57.64, 31

Structural model:
```
Lu2Al9Ir3
1.0
6.5022 -3.7837 0.0000
6.5022 3.7837 0.0000
0.0000 0.0000 9.4111
Lu Al Ir
4 18 6
direct
0.0041 0.6694 0.7500 Lu
0.3306 0.9959 0.7500 Lu
0.6694 0.0041 0.2500 Lu
0.9959 0.3306 0.2500 Lu
0.0008 0.6655 0.0740 Al
0.0008 0.6655 0.4260 Al
0.1258 0.8742 0.2500 Al
0.3333 0.6667 0.5561 Al
0.3333 0.6667 0.9439 Al
0.3345 0.9992 0.0740 Al
0.3345 0.9992 0.4260 Al
0.3373 0.4527 0.2500 Al
0.4527 0.3373 0.7500 Al
0.5473 0.6627 0.2500 Al
0.6627 0.5473 0.7500 Al
0.6655 0.0008 0.5740 Al
0.6655 0.0008 0.9260 Al
0.6667 0.3333 0.0561 Al
0.6667 0.3333 0.4439 Al
0.8742 0.1258 0.7500 Al
0.9992 0.3345 0.5740 Al
0.9992 0.3345 0.9260 Al
0.0000 0.0000 0.0000 Ir
0.0000 0.0000 0.5000 Ir
0.3278 0.3278 0.0000 Ir
0.3278 0.3278 0.5000 Ir
0.6722 0.6722 0.0000 Ir
0.6722 0.6722 0.5000 Ir
```

CeB6: computed X-ray diffraction stick pattern (Cu Ka), based on a crystal structure in the Materials Project, relaxed with PBE.
No peak broadening, texture or thermal motion is included.

Top 8 peaks for 2θ = 10–90°, in order of rising 2θ:
2θ/deg, I/Imax
21.60, 64
30.73, 100
37.87, 43
44.02, 22
49.54, 49
54.64, 27
68.40, 28
72.67, 20

Structural model:
```
CeB6
1.0
4.1145 0.0000 0.0000
0.0000 4.1145 0.0000
0.0000 0.0000 4.1145
Ce B
1 6
direct
0.0000 0.0000 0.0000 Ce
0.1986 0.5000 0.5000 B
0.5000 0.1986 0.5000 B
0.5000 0.5000 0.1986 B
0.5000 0.5000 0.8014 B
0.5000 0.8014 0.5000 B
0.8014 0.5000 0.5000 B
```